The following is a calculated powder X-ray diffraction pattern of Al3Cu3Ni2. It was derived from a DFT-relaxed cell (PBE, Alexandria), using CuKα.
Peak positions follow from Bragg's law for the DFT cell and can differ from measured ones.

Atomic structure:
```
data_Al3Cu3Ni2
_chemical_formula_sum 'Al3 Cu3 Ni2'
_space_group_name_H-M_alt 'P -6 2 m'
_space_group_IT_number 189
_space_group_name_Hall 'P -6 -2'
_cell_length_a 6.5994
_cell_length_b 6.5994
_cell_length_c 2.6938
_cell_angle_alpha 90.00
_cell_angle_beta 90.00
_cell_angle_gamma 120.00
loop_
_atom_site_label
_atom_site_type_symbol
_atom_site_fract_x
_atom_site_fract_y
_atom_site_fract_z
Al1 Al 0.0000 0.3992 0.0000
Cu1 Cu 0.0000 0.7720 0.5000
Ni1 Ni 0.3333 0.6667 0.5000
```

Most intense lines, 2θ from 15° to 90°, low angle first:
2θ 27.0, intensity 16; 2θ 33.3, intensity 36; 2θ 41.8, intensity 100; 2θ 43.4, intensity 69; 2θ 46.3, intensity 37; 2θ 47.7, intensity 20; 2θ 54.4, intensity 51; 2θ 81.7, intensity 15; 2θ 84.8, intensity 25; 2θ 85.9, intensity 25

=====

The following is a calculated powder X-ray diffraction pattern of Al2Cu5Ni. It was derived from a DFT-relaxed cell (PBE, Alexandria), using CuKα.
Peak positions follow from Bragg's law for the DFT cell and can differ from measured ones.

Atomic structure:
```
data_Al2Cu5Ni
_chemical_formula_sum 'Al4 Cu10 Ni2'
_space_group_name_H-M_alt 'I m m m'
_space_group_IT_number 71
_space_group_name_Hall '-I 2 2'
_cell_length_a 2.6384
_cell_length_b 8.1357
_cell_length_c 9.3871
_cell_angle_alpha 90.00
_cell_angle_beta 90.00
_cell_angle_gamma 90.00
loop_
_atom_site_label
_atom_site_type_symbol
_atom_site_fract_x
_atom_site_fract_y
_atom_site_fract_z
Al1 Al 0.0000 0.0000 0.2298
Cu1 Cu 0.0000 0.0000 0.5000
Cu2 Cu 0.0000 0.2743 0.1302
Ni1 Ni 0.0000 0.5000 0.5000
```

Most intense lines, 2θ from 15° to 90°, low angle first:
2θ 29.0, intensity 12; 2θ 41.9, intensity 81; 2θ 44.6, intensity 100; 2θ 44.9, intensity 47; 2θ 48.1, intensity 9; 2θ 60.5, intensity 9; 2θ 65.1, intensity 23; 2θ 82.1, intensity 11; 2θ 84.5, intensity 15; 2θ 88.3, intensity 25

=====

The following is a calculated powder X-ray diffraction pattern of Al2CuNi8. It was derived from a DFT-relaxed cell (PBE, Alexandria), using CuKα.
Peak positions follow from Bragg's law for the DFT cell and can differ from measured ones.

Atomic structure:
```
data_Al2CuNi8
_chemical_formula_sum 'Al2 Cu1 Ni8'
_space_group_name_H-M_alt 'P 4/m m m'
_space_group_IT_number 123
_space_group_name_Hall '-P 4 2'
_cell_length_a 3.5777
_cell_length_b 3.5777
_cell_length_c 10.2064
_cell_angle_alpha 90.00
_cell_angle_beta 90.00
_cell_angle_gamma 90.00
loop_
_atom_site_label
_atom_site_type_symbol
_atom_site_fract_x
_atom_site_fract_y
_atom_site_fract_z
Al1 Al 0.0000 0.0000 0.1714
Cu1 Cu 0.0000 0.0000 0.5000
Ni1 Ni 0.0000 0.5000 0.0000
Ni2 Ni 0.0000 0.5000 0.3438
Ni3 Ni 0.5000 0.5000 0.1743
```

Most intense lines, 2θ from 15° to 90°, low angle first:
2θ 26.2, intensity 5; 2θ 26.4, intensity 11; 2θ 30.5, intensity 10; 2θ 35.5, intensity 5; 2θ 44.6, intensity 100; 2θ 51.1, intensity 34; 2θ 51.5, intensity 2; 2θ 53.9, intensity 13; 2θ 75.1, intensity 10; 2θ 77.4, intensity 16

=====

The following is a calculated powder X-ray diffraction pattern of Al3Cu2Ni3. It was derived from a DFT-relaxed cell (PBE, Alexandria), using CuKα.
Peak positions follow from Bragg's law for the DFT cell and can differ from measured ones.

Atomic structure:
```
data_Al3Cu2Ni3
_chemical_formula_sum 'Al6 Cu4 Ni6'
_space_group_name_H-M_alt 'P -1'
_space_group_IT_number 2
_cell_length_a 5.0691
_cell_length_b 6.6377
_cell_length_c 6.6385
_cell_angle_alpha 78.54
_cell_angle_beta 69.79
_cell_angle_gamma 69.25
loop_
_space_group_symop_operation_xyz
'x,y,z'
'-x,-y,-z'
loop_
_atom_site_label
_atom_site_type_symbol
_atom_site_fract_x
_atom_site_fract_y
_atom_site_fract_z
Al1 Al 0.1334 0.4494 0.2231
Al2 Al 0.1875 0.9547 0.6773
Al3 Al 0.3587 0.8011 0.0510
Cu1 Cu 0.1442 0.2056 0.9539
Cu2 Cu 0.1868 0.6979 0.4499
Ni1 Ni 0.3287 0.2967 0.5504
Ni2 Ni 0.3322 0.0513 0.2866
Ni3 Ni 0.3527 0.5527 0.8142
```

Most intense lines, 2θ from 15° to 90°, low angle first:
2θ 29.5, intensity 23; 2θ 39.9, intensity 24; 2θ 41.5, intensity 54; 2θ 43.1, intensity 100; 2θ 45.0, intensity 77; 2θ 45.1, intensity 79; 2θ 45.4, intensity 65; 2θ 45.7, intensity 65; 2θ 47.0, intensity 38; 2θ 47.1, intensity 36

=====

The following is a calculated powder X-ray diffraction pattern of Al4Cu2Ni. It was derived from a DFT-relaxed cell (PBE, Alexandria), using CuKα.
Peak positions follow from Bragg's law for the DFT cell and can differ from measured ones.

Atomic structure:
```
data_Al4Cu2Ni
_chemical_formula_sum 'Al8 Cu4 Ni2'
_space_group_name_H-M_alt 'P -3 m 1'
_space_group_IT_number 164
_space_group_name_Hall '-P 3 2"'
_cell_length_a 4.1389
_cell_length_b 4.1389
_cell_length_c 15.1350
_cell_angle_alpha 90.00
_cell_angle_beta 90.00
_cell_angle_gamma 120.00
loop_
_atom_site_label
_atom_site_type_symbol
_atom_site_fract_x
_atom_site_fract_y
_atom_site_fract_z
Al1 Al 0.3333 0.6667 0.1136
Al2 Al 0.3333 0.6667 0.2945
Al3 Al 0.3333 0.6667 0.6148
Al4 Al 0.3333 0.6667 0.7946
Cu1 Cu 0.0000 0.0000 0.0823
Cu2 Cu 0.3333 0.6667 0.4545
Ni1 Ni 0.3333 0.6667 0.9535
```

Most intense lines, 2θ from 15° to 90°, low angle first:
2θ 24.8, intensity 14; 2θ 25.5, intensity 35; 2θ 27.5, intensity 13; 2θ 34.5, intensity 20; 2θ 43.7, intensity 100; 2θ 43.9, intensity 90; 2θ 45.4, intensity 22; 2θ 63.7, intensity 28; 2θ 80.4, intensity 15; 2θ 80.5, intensity 28

=====

The following is a calculated powder X-ray diffraction pattern of Al4Cu2Ni. It was derived from a DFT-relaxed cell (PBE, Alexandria), using CuKα.
Peak positions follow from Bragg's law for the DFT cell and can differ from measured ones.

Atomic structure:
```
data_Al4Cu2Ni
_chemical_formula_sum 'Al8 Cu4 Ni2'
_space_group_name_H-M_alt 'P 1 21/m 1'
_space_group_IT_number 11
_cell_length_a 7.0094
_cell_length_b 4.2616
_cell_length_c 7.1439
_cell_angle_alpha 90.00
_cell_angle_beta 117.55
_cell_angle_gamma 90.00
loop_
_space_group_symop_operation_xyz
'x,y,z'
'-x,-y,-z'
'-x,y+1/2,-z'
'x,-y+1/2,z'
loop_
_atom_site_label
_atom_site_type_symbol
_atom_site_fract_x
_atom_site_fract_y
_atom_site_fract_z
Al1 Al 0.0201 0.2500 0.3913
Al2 Al 0.1325 0.7500 0.0534
Al3 Al 0.4105 0.7500 0.8648
Al4 Al 0.4522 0.2500 0.6384
Cu1 Cu 0.1881 0.2500 0.8490
Cu2 Cu 0.2973 0.2500 0.2511
Ni1 Ni 0.2391 0.7500 0.4535
```

Most intense lines, 2θ from 15° to 90°, low angle first:
2θ 25.6, intensity 30; 2θ 28.7, intensity 17; 2θ 37.4, intensity 12; 2θ 39.0, intensity 28; 2θ 42.4, intensity 44; 2θ 43.2, intensity 59; 2θ 44.6, intensity 100; 2θ 48.1, intensity 11; 2θ 58.9, intensity 16; 2θ 79.1, intensity 17